1.
Diffraction record for Tm2Cd3In. The X-ray diffraction stick pattern is simulated, not measured: it uses the GGA-PBE geometry in Alexandria and a wavelength of 1.5418 Å.
Neutral-atom scattering factors, no anomalous dispersion.

Principal peaks in the range 15 to 90 degrees two-theta, in order of rising 2θ:
2θ = 33.54°, rel. 100; 2θ = 36.14°, rel. 27; 2θ = 36.37°, rel. 53; 2θ = 50.17°, rel. 21; 2θ = 63.32°, rel. 10; 2θ = 66.56°, rel. 18

Structure:
Unit cell a=9.880 b=9.196 c=6.032 alpha=77.85 beta=65.50 gamma=36.65
Sites, in units of the cell vectors:
Tm 0.250 0.250 0.250
Tm 0.250 0.750 0.750
Tm 0.750 0.250 0.250
Tm 0.750 0.750 0.750
Cd 0.166 0.166 0.834
Cd 0.166 0.669 0.331
Cd 0.331 0.834 0.166
Cd 0.669 0.166 0.834
Cd 0.834 0.331 0.669
Cd 0.834 0.834 0.166
In 0.334 0.334 0.666
In 0.666 0.666 0.334


2.
Diffraction record for ErH12Pd7. The X-ray diffraction stick pattern is simulated, not measured: it uses the GGA-PBE geometry in Alexandria and a wavelength of 1.5418 Å.
Neutral-atom scattering factors, no anomalous dispersion.

Principal peaks in the range 15 to 90 degrees two-theta, in order of rising 2θ:
2θ = 17.90°, rel. 2; 2θ = 36.25°, rel. 100; 2θ = 52.20°, rel. 18; 2θ = 65.20°, rel. 36; 2θ = 76.95°, rel. 11; 2θ = 88.15°, rel. 16

Structure:
Unit cell a=6.071 b=6.071 c=6.071 alpha=109.47 beta=109.47 gamma=109.47
Sites, in units of the cell vectors:
Er 0.000 0.000 0.000
H 0.131 0.305 0.826
H 0.174 0.479 0.305
H 0.174 0.869 0.695
H 0.305 0.174 0.479
H 0.305 0.826 0.131
H 0.479 0.305 0.174
H 0.521 0.695 0.826
H 0.695 0.174 0.869
H 0.695 0.826 0.521
H 0.826 0.131 0.305
H 0.826 0.521 0.695
H 0.869 0.695 0.174
Pd 0.000 0.000 0.500
Pd 0.000 0.500 0.000
Pd 0.000 0.500 0.500
Pd 0.500 0.000 0.000
Pd 0.500 0.000 0.500
Pd 0.500 0.500 0.000
Pd 0.500 0.500 0.500


3.
Diffraction record for Ba4Sb2O9. The X-ray diffraction stick pattern is simulated, not measured: it uses the GGA-PBE geometry in Alexandria and a wavelength of 1.5418 Å.
Neutral-atom scattering factors, no anomalous dispersion.

Principal peaks in the range 15 to 90 degrees two-theta, in order of rising 2θ:
2θ = 26.86°, rel. 90; 2θ = 29.26°, rel. 100; 2θ = 40.14°, rel. 50; 2θ = 50.44°, rel. 31; 2θ = 51.88°, rel. 20; 2θ = 60.68°, rel. 19

Structure:
Unit cell a=6.105 b=6.105 c=17.053 alpha=90.00 beta=90.00 gamma=120.00
Sites, in units of the cell vectors:
Ba 0.000 0.000 0.000
Ba 0.000 0.000 0.250
Ba 0.000 0.000 0.500
Ba 0.000 0.000 0.750
Ba 0.333 0.667 0.130
Ba 0.333 0.667 0.370
Ba 0.667 0.333 0.630
Ba 0.667 0.333 0.870
Sb 0.333 0.667 0.663
Sb 0.333 0.667 0.837
Sb 0.667 0.333 0.163
Sb 0.667 0.333 0.337
O 0.040 0.520 0.750
O 0.171 0.342 0.610
O 0.171 0.342 0.890
O 0.171 0.829 0.610
O 0.171 0.829 0.890
O 0.342 0.171 0.110
O 0.342 0.171 0.390
O 0.480 0.520 0.750
O 0.480 0.960 0.750
O 0.520 0.040 0.250
O 0.520 0.480 0.250
O 0.658 0.829 0.610
O 0.658 0.829 0.890
O 0.829 0.171 0.110
O 0.829 0.171 0.390
O 0.829 0.658 0.110
O 0.829 0.658 0.390
O 0.960 0.480 0.250